Entry 1:
# Pm3Mg2Ag4
Calculated powder diffraction line list, Cu Kα (λ = 1.5418 Å). Input: a GGA-PBE-relaxed structure.

Structural model:
Cell: 9.829 4.811 9.316 Å, 90.00 93.54 90.00°
Space group C2/m (No. 12)
One atom of each set of equivalent atoms:
Pm (0.000, 0.000, 0.000) (multiplicity 2)
Pm (0.142, 0.500, 0.399) (multiplicity 4)
Mg (0.173, 0.500, 0.779) (multiplicity 4)
Ag (0.055, 0.000, 0.651) (multiplicity 4)
Ag (0.202, 0.500, 0.083) (multiplicity 4)

Most intense lines, 2θ = 10–90°, by angle:
| hkl | 2theta | I/Imax |
| --- | --- | --- |
| 1 1 1 | 22.94 | 60.6 |
| 0 0 3 | 28.81 | 24.1 |
| 3 1 0 | 33.12 | 100.0 |
| 2 0 -3 | 33.23 | 42.7 |
| 1 1 3 | 36.13 | 87.8 |
| 0 2 0 | 37.39 | 57.0 |
| 3 1 -2 | 37.61 | 54.2 |
| 4 0 1 | 38.54 | 29.6 |
| 2 2 -3 | 50.87 | 25.1 |
| 4 2 1 | 54.78 | 20.9 |


Entry 2:
# LiDySc4O8
Calculated powder diffraction line list, Cu Kα (λ = 1.5418 Å). Input: a GGA-PBE-relaxed structure.

Structural model:
Cell: 6.3694 6.3694 15.3388 Å, 90.00 90.00 120.00°
Space group R3m (No. 160, hexagonal axes)
One atom of each set of equivalent atoms:
Li (0.0000, 0.0000, 0.0000) (multiplicity 3)
Dy (0.0000, 0.0000, 0.3759) (multiplicity 3)
Sc (0.0000, 0.0000, 0.6159) (multiplicity 3)
Sc (0.1677, 0.3354, 0.8282) (multiplicity 9)
O (0.0000, 0.0000, 0.2342) (multiplicity 3)
O (0.0000, 0.0000, 0.7518) (multiplicity 3)
O (0.0333, 0.5167, 0.7531) (multiplicity 9)
O (0.1703, 0.3406, 0.5692) (multiplicity 9)

Most intense lines, 2θ = 10–90°, by angle:
| hkl | 2theta | I/Imax |
| --- | --- | --- |
| 1 0 1 | 17.08 | 77.1 |
| 0 1 2 | 19.83 | 45.6 |
| 1 1 0 | 28.02 | 47.2 |
| 1 0 4 | 28.35 | 100.0 |
| 0 2 1 | 33.00 | 89.2 |
| 1 1 3 | 33.14 | 88.8 |
| 0 1 5 | 33.42 | 51.4 |
| 2 1 4 | 49.78 | 38.9 |
| 2 2 0 | 57.91 | 41.8 |
| 2 0 8 | 58.64 | 37.6 |


Entry 3:
# HoEr14Zr
Calculated powder diffraction line list, Cu Kα (λ = 1.5418 Å). Input: a GGA-PBE-relaxed structure.

Structural model:
Cell: 11.029 7.132 12.349 Å, 90.00 90.00 90.00°
Space group Amm2 (No. 38)
One atom of each set of equivalent atoms:
Ho (0.000, 0.000, 0.000) (multiplicity 2)
Er (0.000, 0.249, 0.751) (multiplicity 4)
Er (0.245, 0.000, 0.336) (multiplicity 4)
Er (0.245, 0.246, 0.582) (multiplicity 8)
Er (0.252, 0.000, 0.833) (multiplicity 4)
Er (0.500, 0.000, 0.001) (multiplicity 2)
Er (0.500, 0.000, 0.500) (multiplicity 2)
Er (0.500, 0.250, 0.250) (multiplicity 4)
Zr (0.000, 0.000, 0.501) (multiplicity 2)

Most intense lines, 2θ = 10–90°, by angle:
| hkl | 2theta | I/Imax |
| --- | --- | --- |
| 0 0 4 | 28.92 | 24.1 |
| 4 0 0 | 32.47 | 23.6 |
| 2 2 2 | 33.26 | 100.0 |
| 4 0 4 | 44.03 | 15.4 |
| 0 4 0 | 51.25 | 20.0 |
| 6 2 2 | 58.43 | 19.8 |
| 4 4 0 | 61.99 | 22.2 |
| 2 0 8 | 62.47 | 16.4 |
| 6 0 8 | 81.40 | 7.7 |
| 2 4 8 | 84.94 | 14.1 |


Entry 4:
# AcAgPd2
Calculated powder diffraction line list, Cu Kα (λ = 1.5418 Å). Input: a GGA-PBE-relaxed structure.

Structural model:
Cell: 4.6676 4.6676 14.7085 Å, 90.00 90.00 120.00°
Space group R-3m (No. 166, hexagonal axes)
One atom of each set of equivalent atoms:
Ac (0.0000, 0.0000, 0.0000) (multiplicity 3)
Ag (0.0000, 0.0000, 0.5000) (multiplicity 3)
Pd (0.0000, 0.0000, 0.2087) (multiplicity 6)

Most intense lines, 2θ = 10–90°, by angle:
| hkl | 2theta | I/Imax |
| --- | --- | --- |
| 1 0 1 | 22.82 | 33.3 |
| 0 1 2 | 25.14 | 20.5 |
| 1 0 4 | 32.93 | 99.9 |
| 0 1 5 | 37.82 | 35.1 |
| 1 1 0 | 38.58 | 100.0 |
| 0 2 4 | 51.60 | 28.0 |
| 1 1 6 | 54.27 | 26.9 |
| 2 1 4 | 66.24 | 26.3 |
| 1 0 10 | 67.80 | 16.7 |
| 3 0 0 | 69.80 | 17.2 |


Entry 5:
# PrSmC
Calculated powder diffraction line list, Cu Kα (λ = 1.5418 Å). Input: a GGA-PBE-relaxed structure.

Structural model:
Cell: 6.383 3.690 6.942 Å, 90.00 107.74 90.00°
Space group Cm (No. 8)
One atom of each set of equivalent atoms:
Pr (0.000, 0.000, 0.000) (multiplicity 2)
Sm (0.025, 0.500, 0.574) (multiplicity 2)
C (0.259, 0.000, 0.776) (multiplicity 2)

Most intense lines, 2θ = 10–90°, by angle:
| hkl | 2theta | I/Imax |
| --- | --- | --- |
| 0 0 1 | 13.39 | 18.3 |
| 0 0 2 | 26.97 | 33.7 |
| 1 1 -1 | 29.38 | 100.0 |
| 2 0 -2 | 33.37 | 77.9 |
| 1 1 2 | 42.66 | 12.1 |
| 1 1 -3 | 46.36 | 22.8 |
| 0 2 0 | 49.43 | 28.0 |
| 3 1 -3 | 57.21 | 25.6 |
| 4 0 -2 | 58.55 | 14.6 |
| 2 2 -2 | 60.96 | 13.5 |


Please write out number 1 again, unchanged.
# Pm3Mg2Ag4
Calculated powder diffraction line list, Cu Kα (λ = 1.5418 Å). Input: a GGA-PBE-relaxed structure.

Structural model:
Cell: 9.829 4.811 9.316 Å, 90.00 93.54 90.00°
Space group C2/m (No. 12)
One atom of each set of equivalent atoms:
Pm (0.000, 0.000, 0.000) (multiplicity 2)
Pm (0.142, 0.500, 0.399) (multiplicity 4)
Mg (0.173, 0.500, 0.779) (multiplicity 4)
Ag (0.055, 0.000, 0.651) (multiplicity 4)
Ag (0.202, 0.500, 0.083) (multiplicity 4)

Most intense lines, 2θ = 10–90°, by angle:
| hkl | 2theta | I/Imax |
| --- | --- | --- |
| 1 1 1 | 22.94 | 60.6 |
| 0 0 3 | 28.81 | 24.1 |
| 3 1 0 | 33.12 | 100.0 |
| 2 0 -3 | 33.23 | 42.7 |
| 1 1 3 | 36.13 | 87.8 |
| 0 2 0 | 37.39 | 57.0 |
| 3 1 -2 | 37.61 | 54.2 |
| 4 0 1 | 38.54 | 29.6 |
| 2 2 -3 | 50.87 | 25.1 |
| 4 2 1 | 54.78 | 20.9 |